# 1
This entry pairs a crystal structure of LiTiV3O10 with its simulated PXRD pattern. Radiation: CuKα. Structure: a PBE+U-relaxed structure.

Top 6 peaks for 10° ≤ 2θ ≤ 80°, in order of falling intensity:
d 3.317, 2θ = 26.88°, I 100; d 4.650, 2θ = 19.09°, I 86; d 2.734, 2θ = 32.76°, I 35; d 2.668, 2θ = 33.59°, I 32; d 1.658, 2θ = 55.41°, I 30; d 3.762, 2θ = 23.65°, I 26

Cell and atoms:
```
15
Lattice="4.6632 -4.7226 0.0000 4.6632 4.7226 0.0000 -0.1693 0.0000 4.6497" Properties=species:S:1:pos:R:3 pbc="T T T"
Li 0.0000 0.0000 0.0000
Ti 4.5786 -2.3586 2.3248
V 4.5786 2.3708 2.3248
V 2.2277 0.0032 2.8882
V 6.9295 0.0032 1.7615
O 3.6713 3.4178 1.2521
O 2.1456 0.0029 1.2531
O 5.4859 3.4178 3.3976
O 3.5058 1.3788 3.2625
O 5.6514 1.3788 1.3871
O 3.4457 -1.2922 3.2912
O 5.7115 -1.2922 1.3585
O 3.6234 -3.4993 1.2434
O 7.0116 0.0029 3.3966
O 5.5338 -3.4993 3.4063
```

# 2
This entry pairs a crystal structure of Li4Ti2V5O12 with its simulated PXRD pattern. Radiation: CuKα. Structure: a PBE+U-relaxed structure.

Top 6 peaks for 10° ≤ 2θ ≤ 80°, in order of falling intensity:
d 2.140, 2θ = 42.23°, I 100; d 1.489, 2θ = 62.35°, I 51; d 2.073, 2θ = 43.65°, I 46; d 4.895, 2θ = 18.12°, I 40; d 2.445, 2θ = 36.76°, I 30; d 3.772, 2θ = 23.59°, I 28

Cell and atoms:
```
46
Lattice="5.1301 0.0000 0.0000 0.0000 9.0772 0.0000 -1.9997 0.0000 9.7903" Properties=species:S:1:pos:R:3 pbc="T T T"
Li -0.4876 0.0000 2.5250
Li -1.4421 7.6171 7.2491
Li 0.2662 7.5871 4.9230
Li 2.0236 7.5357 2.4727
Li 1.1068 2.9971 7.3175
Li 2.8642 3.0485 4.8672
Li 4.5725 3.0785 2.5412
Li 3.6180 4.5386 7.2653
Ti -0.6879 6.0441 9.7742
Ti 0.3219 1.4791 4.9891
Ti 2.8085 6.0177 4.8011
Ti 3.8183 1.5056 0.0160
V -1.5009 1.5159 7.3601
V 4.6313 6.0545 2.4301
V 1.2668 3.1090 0.0591
V -0.6935 0.0138 9.7411
V 0.3020 4.4983 4.9097
V 1.0637 6.1438 7.2681
V 2.0667 1.6052 2.5222
V 2.8284 9.0369 4.8806
V 3.8239 4.5524 0.0492
V 1.8636 7.6476 9.7312
O -0.6770 0.1040 6.0423
O -0.6442 5.9727 5.9851
O 0.3641 1.5122 1.1568
O 0.4049 4.6852 1.2059
O -0.5429 2.8980 6.1244
O 0.4747 7.5095 1.1699
O 1.0086 2.9216 3.8540
O 0.0571 7.4592 8.6230
O 0.1247 4.6434 8.5976
O 1.1430 6.0479 3.7472
O 1.1436 0.0994 3.7751
O 0.1521 1.6001 8.6549
O 2.9783 6.1387 1.1354
O 1.9868 4.6380 6.0152
O 1.9873 1.5094 6.0431
O 3.0057 0.1048 1.1927
O 3.0733 2.9206 1.1673
O 2.1218 7.4601 5.9363
O 2.6557 2.9709 8.6204
O 3.6733 7.4366 3.6659
O 2.7255 0.1466 8.5844
O 2.7662 6.0508 8.6335
O 3.7746 1.4341 3.8052
O 3.8074 4.6426 3.7480
```

Repeat the second record exactly.
This entry pairs a crystal structure of Li4Ti2V5O12 with its simulated PXRD pattern. Radiation: CuKα. Structure: a PBE+U-relaxed structure.

Top 6 peaks for 10° ≤ 2θ ≤ 80°, in order of falling intensity:
d 2.140, 2θ = 42.23°, I 100; d 1.489, 2θ = 62.35°, I 51; d 2.073, 2θ = 43.65°, I 46; d 4.895, 2θ = 18.12°, I 40; d 2.445, 2θ = 36.76°, I 30; d 3.772, 2θ = 23.59°, I 28

Cell and atoms:
```
46
Lattice="5.1301 0.0000 0.0000 0.0000 9.0772 0.0000 -1.9997 0.0000 9.7903" Properties=species:S:1:pos:R:3 pbc="T T T"
Li -0.4876 0.0000 2.5250
Li -1.4421 7.6171 7.2491
Li 0.2662 7.5871 4.9230
Li 2.0236 7.5357 2.4727
Li 1.1068 2.9971 7.3175
Li 2.8642 3.0485 4.8672
Li 4.5725 3.0785 2.5412
Li 3.6180 4.5386 7.2653
Ti -0.6879 6.0441 9.7742
Ti 0.3219 1.4791 4.9891
Ti 2.8085 6.0177 4.8011
Ti 3.8183 1.5056 0.0160
V -1.5009 1.5159 7.3601
V 4.6313 6.0545 2.4301
V 1.2668 3.1090 0.0591
V -0.6935 0.0138 9.7411
V 0.3020 4.4983 4.9097
V 1.0637 6.1438 7.2681
V 2.0667 1.6052 2.5222
V 2.8284 9.0369 4.8806
V 3.8239 4.5524 0.0492
V 1.8636 7.6476 9.7312
O -0.6770 0.1040 6.0423
O -0.6442 5.9727 5.9851
O 0.3641 1.5122 1.1568
O 0.4049 4.6852 1.2059
O -0.5429 2.8980 6.1244
O 0.4747 7.5095 1.1699
O 1.0086 2.9216 3.8540
O 0.0571 7.4592 8.6230
O 0.1247 4.6434 8.5976
O 1.1430 6.0479 3.7472
O 1.1436 0.0994 3.7751
O 0.1521 1.6001 8.6549
O 2.9783 6.1387 1.1354
O 1.9868 4.6380 6.0152
O 1.9873 1.5094 6.0431
O 3.0057 0.1048 1.1927
O 3.0733 2.9206 1.1673
O 2.1218 7.4601 5.9363
O 2.6557 2.9709 8.6204
O 3.6733 7.4366 3.6659
O 2.7255 0.1466 8.5844
O 2.7662 6.0508 8.6335
O 3.7746 1.4341 3.8052
O 3.8074 4.6426 3.7480
```

> Number 1 is which compound?

LiTiV3O10